Theoretical X-ray powder pattern
Compound: GaCuI4
Radiation: Cu Kα X-rays
Structure: a GGA-PBE-relaxed structure
Kinematic intensities with the Lorentz-polarization factor, no thermal factor.

Cell and atoms:
```
data_GaCuI4
_cell_length_a 6.440
_cell_length_b 6.440
_cell_length_c 11.398
_cell_angle_alpha 90.00
_cell_angle_beta 90.00
_cell_angle_gamma 90.00
_space_group_name_H-M_alt 'P -4 2 c'
_space_group_IT_number 112
_space_group_name_Hall 'P -4 2c'
loop_
_atom_site_label
_atom_site_type_symbol
_atom_site_fract_x
_atom_site_fract_y
_atom_site_fract_z
Ga1 Ga 0.000 0.500 0.250
Cu1 Cu 0.000 0.000 0.000
I1 I 0.233 0.262 0.381
```

Peak list (8 most intense, 10 to 90 degrees two-theta, most intense first)
2θ 25.03, intensity 100, (1 1 2); 2θ 42.36, intensity 36, (2 0 4); 2θ 47.41, intensity 33, (3 1 2); 2θ 39.58, intensity 22, (2 2 0); 2θ 27.70, intensity 18, (2 0 0); 2θ 52.17, intensity 13, (1 1 6); 2θ 73.72, intensity 12, (4 2 4); 2θ 15.81, intensity 12, (1 0 1)



Theoretical X-ray powder pattern
Compound: La4GeCl3
Radiation: Cu Kα X-rays
Structure: a GGA-PBE-relaxed structure
Kinematic intensities with the Lorentz-polarization factor, no thermal factor.

Cell and atoms:
```
data_La4GeCl3
_cell_length_a 7.264
_cell_length_b 8.463
_cell_length_c 7.410
_cell_angle_alpha 90.00
_cell_angle_beta 109.52
_cell_angle_gamma 90.00
_space_group_name_H-M_alt 'P 1 2/c 1'
_space_group_IT_number 13
_space_group_name_Hall '-P 2yc'
loop_
_atom_site_label
_atom_site_type_symbol
_atom_site_fract_x
_atom_site_fract_y
_atom_site_fract_z
La1 La 0.243 0.124 0.497
La2 La 0.249 0.378 0.000
Ge1 Ge 0.000 0.131 0.750
Cl1 Cl 0.000 0.375 0.250
Cl2 Cl 0.500 0.123 0.250
Cl3 Cl 0.500 0.369 0.750
```

Peak list (8 most intense, 10 to 90 degrees two-theta, most intense first)
2θ 29.85, intensity 100, (1 2 1); 2θ 42.37, intensity 25, (1 2 -3); 2θ 42.73, intensity 24, (2 0 2); 2θ 43.04, intensity 24, (3 2 -1); 2θ 25.78, intensity 23, (1 2 -1); 2θ 52.99, intensity 13, (2 4 -2); 2θ 25.51, intensity 12, (0 0 2); 2θ 62.00, intensity 12, (4 0 -4)



Theoretical X-ray powder pattern
Compound: ErTa2NbC4
Radiation: Cu Kα X-rays
Structure: a GGA-PBE-relaxed structure
Kinematic intensities with the Lorentz-polarization factor, no thermal factor.

Cell and atoms:
```
data_ErTa2NbC4
_cell_length_a 3.223
_cell_length_b 11.392
_cell_length_c 11.581
_cell_angle_alpha 90.00
_cell_angle_beta 90.00
_cell_angle_gamma 90.00
_space_group_name_H-M_alt 'C m c m'
_space_group_IT_number 63
_space_group_name_Hall '-C 2c 2'
loop_
_atom_site_label
_atom_site_type_symbol
_atom_site_fract_x
_atom_site_fract_y
_atom_site_fract_z
Er1 Er 0.000 0.140 0.250
Ta1 Ta 0.000 0.368 0.027
Nb1 Nb 0.000 0.132 0.750
C1 C 0.000 0.000 0.000
C2 C 0.000 0.253 0.613
C3 C 0.000 0.479 0.250
```

Peak list (8 most intense, 10 to 90 degrees two-theta, most intense first)
2θ 39.85, intensity 100, (1 3 2); 2θ 32.76, intensity 94, (1 1 2); 2θ 31.41, intensity 58, (0 4 0); 2θ 30.89, intensity 57, (0 0 4); 2θ 44.63, intensity 39, (0 4 4); 2θ 66.35, intensity 37, (2 0 4); 2θ 27.92, intensity 28, (0 2 3); 2θ 51.60, intensity 17, (1 5 2)



Theoretical X-ray powder pattern
Compound: CsCu4H7
Radiation: Cu Kα X-rays
Structure: a GGA-PBE-relaxed structure
Kinematic intensities with the Lorentz-polarization factor, no thermal factor.

Cell and atoms:
```
data_CsCu4H7
_cell_length_a 3.554
_cell_length_b 13.509
_cell_length_c 5.362
_cell_angle_alpha 90.00
_cell_angle_beta 90.00
_cell_angle_gamma 90.00
_space_group_name_H-M_alt 'P m m n'
_space_group_IT_number 59
loop_
_space_group_symop_operation_xyz
'x,y,z'
'-x,-y,-z'
'-x+1/2,-y+1/2,z'
'x+1/2,y+1/2,-z'
'x+1/2,-y,-z'
'-x+1/2,y,z'
'-x,y+1/2,-z'
'x,-y+1/2,z'
loop_
_atom_site_label
_atom_site_type_symbol
_atom_site_fract_x
_atom_site_fract_y
_atom_site_fract_z
Cs1 Cs 0.250 0.250 0.145
Cu1 Cu 0.250 0.005 0.811
Cu2 Cu 0.250 0.623 0.367
H1 H 0.250 0.119 0.672
H2 H 0.250 0.527 0.144
H3 H 0.250 0.603 0.673
H4 H 0.250 0.750 0.340
```

Peak list (8 most intense, 10 to 90 degrees two-theta, most intense first)
2θ 33.02, intensity 100, (1 2 1); 2θ 25.84, intensity 68, (0 3 1); 2θ 31.30, intensity 57, (0 4 1); 2θ 32.09, intensity 49, (1 3 0); 2θ 30.91, intensity 49, (1 1 1); 2θ 34.09, intensity 42, (0 1 2); 2θ 44.40, intensity 40, (1 2 2); 2θ 58.42, intensity 35, (0 4 3)



Theoretical X-ray powder pattern
Compound: BeSe
Radiation: Cu Kα X-rays
Structure: a GGA-PBE-relaxed structure
Kinematic intensities with the Lorentz-polarization factor, no thermal factor.

Cell and atoms:
```
data_BeSe
_cell_length_a 3.6536
_cell_length_b 3.6536
_cell_length_c 6.0223
_cell_angle_alpha 90.00
_cell_angle_beta 90.00
_cell_angle_gamma 120.00
_space_group_name_H-M_alt 'P 63 m c'
_space_group_IT_number 186
_space_group_name_Hall 'P 6c -2c'
loop_
_atom_site_label
_atom_site_type_symbol
_atom_site_fract_x
_atom_site_fract_y
_atom_site_fract_z
Be1 Be 0.3333 0.6667 0.0000
Se1 Se 0.3333 0.6667 0.6261
```

Peak list (8 most intense, 10 to 90 degrees two-theta, most intense first)
2θ 31.95, intensity 100, (1 0 1); 2θ 28.20, intensity 30, (1 0 0); 2θ 29.67, intensity 30, (0 0 2); 2θ 54.10, intensity 27, (1 0 3); 2θ 59.15, intensity 25, (1 1 2); 2θ 49.92, intensity 24, (1 1 0); 2θ 41.39, intensity 18, (1 0 2); 2θ 60.51, intensity 16, (2 0 1)